Record 1
MgMn6O7F5: simulated powder XRD pattern (a wavelength of 1.5418 Å), based on a crystal structure in the Materials Project, relaxed with GGA+U.
No peak broadening, texture or thermal motion is included.

Crystal structure
abc: 5.193 5.938 7.899
angles: 83.50 84.13 80.00
Space group P1 (No. 1)
One atom of each set of equivalent atoms:
Mg 0.000 0.000 0.000
Mn 0.020 0.030 0.512
Mn 0.306 0.529 0.505
Mn 0.483 0.185 0.853
Mn 0.501 0.869 0.186
Mn 0.914 0.604 0.820
Mn 0.993 0.368 0.184
O 0.122 0.313 0.403
O 0.279 0.465 0.768
O 0.288 0.145 0.081
O 0.326 0.854 0.407
O 0.688 0.877 0.943
O 0.825 0.354 0.973
O 0.922 0.742 0.597
F 0.154 0.681 0.091
F 0.184 0.013 0.768
F 0.658 0.548 0.276
F 0.688 0.210 0.624
F 0.819 0.036 0.248

Main lines, by intensity (10 to 90 degrees two-theta):
- 22.6 deg, rel. 100
- 27.6 deg, rel. 80
- 34.4 deg, rel. 27
- 33.5 deg, rel. 25
- 33.9 deg, rel. 24
- 34.1 deg, rel. 22


Record 2
ThCrO7: simulated powder XRD pattern (a wavelength of 1.5418 Å), based on a crystal structure in the Materials Project, relaxed with GGA+U.
No peak broadening, texture or thermal motion is included.

Crystal structure
abc: 6.923 6.569 7.641
angles: 90.00 111.35 90.00
Space group P2_1/m (No. 11)
One atom of each set of equivalent atoms:
Th 0.141 0.250 0.213
Cr 0.272 0.750 0.533
O 0.072 0.750 0.606
O 0.096 0.502 0.978
O 0.261 0.544 0.404
O 0.396 0.250 0.754
O 0.494 0.750 0.718

Main lines, by intensity (10 to 90 degrees two-theta):
- 18.4 deg, rel. 100
- 14.8 deg, rel. 72
- 27.4 deg, rel. 55
- 25.6 deg, rel. 52
- 13.7 deg, rel. 37
- 25.9 deg, rel. 34


Record 3
Na2W3SeO14: simulated powder XRD pattern (a wavelength of 1.5418 Å), based on a crystal structure in the Materials Project, relaxed with GGA+U.
No peak broadening, texture or thermal motion is included.

Crystal structure
abc: 7.353 12.840 12.510
angles: 90.00 90.44 90.00
Space group Cc (No. 9)
One atom of each set of equivalent atoms:
Na 0.000 0.002 0.000
Na 0.237 0.250 0.000
W 0.242 0.087 0.741
W 0.250 0.418 0.242
W 0.489 0.169 0.242
Se 0.486 0.002 0.014
O 0.176 0.438 0.750
O 0.177 0.229 0.701
O 0.178 0.440 0.070
O 0.198 0.100 0.880
O 0.300 0.060 0.573
O 0.305 0.407 0.379
O 0.307 0.061 0.253
O 0.309 0.274 0.200
O 0.469 0.325 0.590
O 0.478 0.124 0.073
O 0.493 0.334 0.903
O 0.495 0.454 0.195
O 0.496 0.121 0.752
O 0.499 0.198 0.380

Main lines, by intensity (10 to 90 degrees two-theta):
- 14.2 deg, rel. 100
- 28.9 deg, rel. 83
- 15.5 deg, rel. 54
- 28.7 deg, rel. 43
- 31.4 deg, rel. 38
- 13.8 deg, rel. 37